The following is a computed powder XRD pattern of La3HgCl3. It was derived from a cell relaxed with PBE, using Cu Kα.
Kinematic intensities with the Lorentz-polarization factor, no thermal factor.

Structural model:
Cell lengths 6.0948, 6.0948, 6.0948 Å; angles 90.00, 90.00, 90.00 degrees
Space group Pm-3m (No. 221)
One atom of each set of equivalent atoms:
La (0.0000, 0.0000, 0.5000) x3
Hg (0.0000, 0.0000, 0.0000) x1
Cl (0.0000, 0.5000, 0.5000) x3

Principal peaks in the range 5° ≤ 2θ ≤ 70°, by intensity:
index	2theta	d (Å)	Rel. int.
2 0 0	29.31	3.047	100
1 0 0	14.53	6.095	87
2 2 0	41.93	2.155	74
2 1 0	32.86	2.726	52
4 2 0	68.90	1.363	33
3 0 0	44.60	2.032	28